Computed XRD peak list of LiMnF4 for Cu Kα, from DFT lattice parameters and positions (PBE+U).
Lines closer than 0.1° are merged.

Structural model:
```
data_LiMnF4
_cell_length_a 4.750
_cell_length_b 5.746
_cell_length_c 10.095
_cell_angle_alpha 90.00
_cell_angle_beta 90.00
_cell_angle_gamma 90.00
_symmetry_space_group_name_H-M 'P b c n'
_symmetry_Int_Tables_number 60
_symmetry_space_group_name_Hall '-P 2n 2ab'
loop_
_atom_site_label
_atom_site_type_symbol
_atom_site_fract_x
_atom_site_fract_y
_atom_site_fract_z
Li1 Li 0.000 0.000 0.000
Mn1 Mn 0.000 0.317 0.250
F1 F 0.197 0.303 0.093
F2 F 0.235 0.054 0.329
```

Principal peaks in the range 2θ from 10° to 80°, sorted by position:
(0 0 2), 17.57 deg, d = 5.048 Å, intensity 60
(1 1 1), 25.89 deg, d = 3.442 Å, intensity 100
(1 1 3), 36.26 deg, d = 2.477 Å, intensity 17
(1 0 4), 40.47 deg, d = 2.229 Å, intensity 15
(1 2 2), 40.83 deg, d = 2.210 Å, intensity 21
(2 0 4), 52.94 deg, d = 1.730 Å, intensity 16
(2 2 2), 53.23 deg, d = 1.721 Å, intensity 15
(0 2 6), 64.13 deg, d = 1.452 Å, intensity 13



Computed XRD peak list of CaPrMn2O6 for Cu Kα, from DFT lattice parameters and positions (PBE+U).
Lines closer than 0.1° are merged.

Structural model:
```
data_CaPrMn2O6
_cell_length_a 7.721
_cell_length_b 5.500
_cell_length_c 5.454
_cell_angle_alpha 90.00
_cell_angle_beta 90.00
_cell_angle_gamma 90.00
_symmetry_space_group_name_H-M 'P m n 21'
_symmetry_Int_Tables_number 31
_symmetry_space_group_name_Hall 'P 2ac -2'
loop_
_atom_site_label
_atom_site_type_symbol
_atom_site_fract_x
_atom_site_fract_y
_atom_site_fract_z
Ca1 Ca 0.000 0.209 0.000
Pr1 Pr 0.000 0.714 0.519
Mn1 Mn 0.250 0.249 0.510
O1 O 0.000 0.264 0.432
O2 O 0.000 0.767 0.082
O3 O 0.208 0.466 0.794
O4 O 0.211 0.969 0.729
```

Principal peaks in the range 2θ from 10° to 80°, sorted by position:
(1 1 0), 19.82 deg, d = 4.480 Å, intensity 19
(1 0 1), 19.93 deg, d = 4.455 Å, intensity 20
(0 2 0), 32.56 deg, d = 2.750 Å, intensity 19
(2 1 1), 32.77 deg, d = 2.733 Å, intensity 100
(3 0 1), 38.66 deg, d = 2.329 Å, intensity 18
(0 2 2), 46.92 deg, d = 1.936 Å, intensity 25
(4 0 0), 47.08 deg, d = 1.930 Å, intensity 14
(2 1 3), 58.58 deg, d = 1.576 Å, intensity 26



Computed XRD peak list of MnO2 for Cu Kα, from DFT lattice parameters and positions (PBE+U).
Lines closer than 0.1° are merged.

Structural model:
```
data_MnO2
_cell_length_a 2.9257
_cell_length_b 2.9257
_cell_length_c 30.5245
_cell_angle_alpha 90.00
_cell_angle_beta 90.00
_cell_angle_gamma 120.00
_symmetry_space_group_name_H-M 'R -3 m'
_symmetry_Int_Tables_number 166
_symmetry_space_group_name_Hall '-R 3 2"'
loop_
_atom_site_label
_atom_site_type_symbol
_atom_site_fract_x
_atom_site_fract_y
_atom_site_fract_z
Mn1 Mn 0.0000 0.0000 0.0000
Mn2 Mn 0.0000 0.0000 0.5000
O1 O 0.0000 0.0000 0.1352
O2 O 0.0000 0.0000 0.3019
```

Principal peaks in the range 2θ from 10° to 80°, sorted by position:
(0 0 6), 17.43 deg, d = 5.087 Å, intensity 100
(0 1 2), 35.93 deg, d = 2.499 Å, intensity 16
(1 0 4), 37.40 deg, d = 2.405 Å, intensity 17
(0 1 8), 42.84 deg, d = 2.111 Å, intensity 18
(1 0 10), 46.59 deg, d = 1.950 Å, intensity 17
(0 1 14), 55.61 deg, d = 1.653 Å, intensity 12
(1 1 0), 63.61 deg, d = 1.463 Å, intensity 11
(1 1 6), 66.51 deg, d = 1.406 Å, intensity 12



Computed XRD peak list of Li4VP2O8 for Cu Kα, from DFT lattice parameters and positions (PBE+U).
Lines closer than 0.1° are merged.

Structural model:
```
data_Li4VP2O8
_cell_length_a 8.319
_cell_length_b 10.357
_cell_length_c 8.506
_cell_angle_alpha 90.00
_cell_angle_beta 107.88
_cell_angle_gamma 90.00
_symmetry_space_group_name_H-M 'P 1 21/c 1'
_symmetry_Int_Tables_number 14
_symmetry_space_group_name_Hall '-P 2ybc'
loop_
_atom_site_label
_atom_site_type_symbol
_atom_site_fract_x
_atom_site_fract_y
_atom_site_fract_z
Li1 Li 0.016 0.074 0.259
Li2 Li 0.100 0.160 0.602
Li3 Li 0.153 0.660 0.659
Li4 Li 0.342 0.162 0.358
V1 V 0.380 0.644 0.372
P1 P 0.210 0.092 0.983
P2 P 0.277 0.584 0.036
O1 O 0.065 0.106 0.816
O2 O 0.154 0.643 0.128
O3 O 0.158 0.155 0.126
O4 O 0.214 0.052 0.474
O5 O 0.245 0.555 0.519
O6 O 0.280 0.672 0.892
O7 O 0.369 0.160 0.961
O8 O 0.455 0.584 0.168
```

Principal peaks in the range 2θ from 10° to 80°, sorted by position:
(0 2 1), 20.36 deg, d = 4.362 Å, intensity 34
(1 2 -1), 21.57 deg, d = 4.119 Å, intensity 100
(0 0 2), 21.96 deg, d = 4.048 Å, intensity 40
(2 0 0), 22.46 deg, d = 3.958 Å, intensity 45
(2 1 0), 24.07 deg, d = 3.698 Å, intensity 29
(2 2 -2), 31.48 deg, d = 2.842 Å, intensity 46
(0 4 0), 34.64 deg, d = 2.589 Å, intensity 41
(2 0 2), 36.29 deg, d = 2.476 Å, intensity 53



Computed XRD peak list of Li9Mn2Co5O16 for Cu Kα, from DFT lattice parameters and positions (PBE+U).
Lines closer than 0.1° are merged.

Structural model:
```
data_Li9Mn2Co5O16
_cell_length_a 2.956
_cell_length_b 5.101
_cell_length_c 19.250
_cell_angle_alpha 93.64
_cell_angle_beta 93.31
_cell_angle_gamma 91.37
_symmetry_space_group_name_H-M 'P 1'
_symmetry_Int_Tables_number 1
_symmetry_space_group_name_Hall 'P 1'
loop_
_atom_site_label
_atom_site_type_symbol
_atom_site_fract_x
_atom_site_fract_y
_atom_site_fract_z
Li1 Li 0.000 0.000 0.000
Li2 Li 0.002 0.506 0.501
Li3 Li 0.008 0.246 0.749
Li4 Li 0.014 0.727 0.248
Li5 Li 0.491 0.263 0.250
Li6 Li 0.495 0.874 0.124
Li7 Li 0.504 0.371 0.625
Li8 Li 0.505 0.124 0.876
Li9 Li 0.512 0.616 0.370
Mn1 Mn 0.012 0.128 0.369
Mn2 Mn 0.512 0.994 0.500
Co1 Co 0.020 0.613 0.875
Co2 Co 0.507 0.488 0.000
Co3 Co 0.508 0.754 0.750
Co4 Co 0.992 0.876 0.625
Co5 Co 0.996 0.370 0.128
O1 O 0.002 0.592 0.688
O2 O 0.004 0.095 0.176
O3 O 0.007 0.917 0.809
O4 O 0.040 0.317 0.940
O5 O 0.045 0.832 0.437
O6 O 0.460 0.049 0.684
O7 O 0.469 0.555 0.181
O8 O 0.488 0.959 0.318
O9 O 0.505 0.778 0.937
O10 O 0.522 0.451 0.815
O11 O 0.525 0.211 0.062
O12 O 0.531 0.699 0.563
O13 O 0.536 0.279 0.432
O14 O 0.972 0.647 0.062
O15 O 0.978 0.164 0.563
O16 O 0.999 0.415 0.317
```

Principal peaks in the range 2θ from 10° to 80°, sorted by position:
(0 1 1), 18.33 deg, d = 4.841 Å, intensity 100
(1 0 -4), 34.74 deg, d = 2.582 Å, intensity 18
(0 1 -7), 36.21 deg, d = 2.481 Å, intensity 13
(1 0 4), 36.70 deg, d = 2.449 Å, intensity 12
(-1 1 5), 41.78 deg, d = 2.162 Å, intensity 32
(0 2 -6), 44.02 deg, d = 2.057 Å, intensity 26
(1 1 5), 44.60 deg, d = 2.031 Å, intensity 26
(1 -2 2), 47.35 deg, d = 1.920 Å, intensity 10



Computed XRD peak list of SrEuDyCoO6 for Cu Kα, from DFT lattice parameters and positions (PBE+U).
Lines closer than 0.1° are merged.

Structural model:
```
data_SrEuDyCoO6
_cell_length_a 8.058
_cell_length_b 8.058
_cell_length_c 8.058
_cell_angle_alpha 90.00
_cell_angle_beta 90.00
_cell_angle_gamma 90.00
_symmetry_space_group_name_H-M 'F -4 3 m'
_symmetry_Int_Tables_number 216
_symmetry_space_group_name_Hall 'F -4 2 3'
loop_
_atom_site_label
_atom_site_type_symbol
_atom_site_fract_x
_atom_site_fract_y
_atom_site_fract_z
Sr1 Sr 0.000 0.000 0.000
Eu1 Eu 0.000 0.000 0.500
Dy1 Dy 0.250 0.250 0.750
Co1 Co 0.250 0.250 0.250
O1 O 0.020 0.250 0.250
```

Principal peaks in the range 2θ from 10° to 80°, sorted by position:
(1 1 1), 19.08 deg, d = 4.652 Å, intensity 13
(2 2 0), 31.40 deg, d = 2.849 Å, intensity 100
(3 1 1), 37.00 deg, d = 2.430 Å, intensity 10
(4 0 0), 45.00 deg, d = 2.014 Å, intensity 30
(3 3 1), 49.29 deg, d = 1.849 Å, intensity 5
(4 2 2), 55.90 deg, d = 1.645 Å, intensity 39
(4 4 0), 65.53 deg, d = 1.424 Å, intensity 18
(6 2 0), 74.47 deg, d = 1.274 Å, intensity 18



Copy entry 4 word for word.
Computed XRD peak list of Li4VP2O8 for Cu Kα, from DFT lattice parameters and positions (PBE+U).
Lines closer than 0.1° are merged.

Structural model:
```
data_Li4VP2O8
_cell_length_a 8.319
_cell_length_b 10.357
_cell_length_c 8.506
_cell_angle_alpha 90.00
_cell_angle_beta 107.88
_cell_angle_gamma 90.00
_symmetry_space_group_name_H-M 'P 1 21/c 1'
_symmetry_Int_Tables_number 14
_symmetry_space_group_name_Hall '-P 2ybc'
loop_
_atom_site_label
_atom_site_type_symbol
_atom_site_fract_x
_atom_site_fract_y
_atom_site_fract_z
Li1 Li 0.016 0.074 0.259
Li2 Li 0.100 0.160 0.602
Li3 Li 0.153 0.660 0.659
Li4 Li 0.342 0.162 0.358
V1 V 0.380 0.644 0.372
P1 P 0.210 0.092 0.983
P2 P 0.277 0.584 0.036
O1 O 0.065 0.106 0.816
O2 O 0.154 0.643 0.128
O3 O 0.158 0.155 0.126
O4 O 0.214 0.052 0.474
O5 O 0.245 0.555 0.519
O6 O 0.280 0.672 0.892
O7 O 0.369 0.160 0.961
O8 O 0.455 0.584 0.168
```

Principal peaks in the range 2θ from 10° to 80°, sorted by position:
(0 2 1), 20.36 deg, d = 4.362 Å, intensity 34
(1 2 -1), 21.57 deg, d = 4.119 Å, intensity 100
(0 0 2), 21.96 deg, d = 4.048 Å, intensity 40
(2 0 0), 22.46 deg, d = 3.958 Å, intensity 45
(2 1 0), 24.07 deg, d = 3.698 Å, intensity 29
(2 2 -2), 31.48 deg, d = 2.842 Å, intensity 46
(0 4 0), 34.64 deg, d = 2.589 Å, intensity 41
(2 0 2), 36.29 deg, d = 2.476 Å, intensity 53



Repeat the second record exactly.
Computed XRD peak list of CaPrMn2O6 for Cu Kα, from DFT lattice parameters and positions (PBE+U).
Lines closer than 0.1° are merged.

Structural model:
```
data_CaPrMn2O6
_cell_length_a 7.721
_cell_length_b 5.500
_cell_length_c 5.454
_cell_angle_alpha 90.00
_cell_angle_beta 90.00
_cell_angle_gamma 90.00
_symmetry_space_group_name_H-M 'P m n 21'
_symmetry_Int_Tables_number 31
_symmetry_space_group_name_Hall 'P 2ac -2'
loop_
_atom_site_label
_atom_site_type_symbol
_atom_site_fract_x
_atom_site_fract_y
_atom_site_fract_z
Ca1 Ca 0.000 0.209 0.000
Pr1 Pr 0.000 0.714 0.519
Mn1 Mn 0.250 0.249 0.510
O1 O 0.000 0.264 0.432
O2 O 0.000 0.767 0.082
O3 O 0.208 0.466 0.794
O4 O 0.211 0.969 0.729
```

Principal peaks in the range 2θ from 10° to 80°, sorted by position:
(1 1 0), 19.82 deg, d = 4.480 Å, intensity 19
(1 0 1), 19.93 deg, d = 4.455 Å, intensity 20
(0 2 0), 32.56 deg, d = 2.750 Å, intensity 19
(2 1 1), 32.77 deg, d = 2.733 Å, intensity 100
(3 0 1), 38.66 deg, d = 2.329 Å, intensity 18
(0 2 2), 46.92 deg, d = 1.936 Å, intensity 25
(4 0 0), 47.08 deg, d = 1.930 Å, intensity 14
(2 1 3), 58.58 deg, d = 1.576 Å, intensity 26